No. 1
Structure and theoretical X-ray diffraction stick pattern of CaZrGeO5 (a cell relaxed with PBE; a wavelength of 1.5418 Å).
Kinematic intensities with the Lorentz-polarization factor, no thermal factor.

Atomic structure:
Cell lengths 5.6473, 5.8526, 7.5797 Å; angles 104.40, 102.12, 107.07 degrees
Atoms (fractional coordinates):
Ca 0.1546 0.3184 0.2956
Ca 0.8454 0.6816 0.7044
Zr 0.5000 0.0000 0.0000
Zr 0.5000 0.0000 0.5000
Ge 0.1852 0.3256 0.7484
Ge 0.8148 0.6744 0.2516
O 0.1042 0.7529 0.4428
O 0.1894 0.1091 0.8734
O 0.2167 0.6257 0.8938
O 0.3965 0.0689 0.2485
O 0.4244 0.3369 0.6253
O 0.5756 0.6631 0.3747
O 0.6035 0.9311 0.7515
O 0.7833 0.3743 0.1062
O 0.8106 0.8909 0.1266
O 0.8958 0.2471 0.5572

Principal peaks in the range 2θ from 10° to 90°, in order of rising 2θ:
- 25.47 deg, d 3.497, I 52
- 26.09 deg, d 3.416, I 80
- 28.32 deg, d 3.152, I 100
- 31.85 deg, d 2.809, I 55
- 31.98 deg, d 2.799, I 65
- 32.36 deg, d 2.766, I 32
- 32.71 deg, d 2.737, I 47
- 35.18 deg, d 2.551, I 38
- 42.31 deg, d 2.136, I 28
- 48.88 deg, d 1.863, I 22


No. 2
Structure and theoretical X-ray diffraction stick pattern of Ca5Ge2P6 (a cell relaxed with PBE; a wavelength of 1.5418 Å).
Kinematic intensities with the Lorentz-polarization factor, no thermal factor.

Atomic structure:
Cell lengths 11.0396, 13.5726, 3.9252 Å; angles 90.00, 90.00, 90.00 degrees
Atoms (fractional coordinates):
Ca 0.0000 0.0000 0.0000
Ca 0.0707 0.2501 0.0000
Ca 0.1638 0.5080 0.0000
Ca 0.3362 0.0080 0.0000
Ca 0.4293 0.7501 0.0000
Ca 0.5000 0.5000 0.0000
Ca 0.5707 0.2499 0.0000
Ca 0.6638 0.9920 0.0000
Ca 0.8362 0.4920 0.0000
Ca 0.9293 0.7499 0.0000
Ge 0.1781 0.7188 0.5000
Ge 0.3219 0.2188 0.5000
Ge 0.6781 0.7812 0.5000
Ge 0.8219 0.2812 0.5000
P 0.0132 0.6094 0.5000
P 0.1569 0.1024 0.5000
P 0.1815 0.8280 0.0000
P 0.3185 0.3280 0.0000
P 0.3431 0.6024 0.5000
P 0.4868 0.1094 0.5000
P 0.5132 0.8906 0.5000
P 0.6569 0.3976 0.5000
P 0.6815 0.6720 0.0000
P 0.8185 0.1720 0.0000
P 0.8431 0.8976 0.5000
P 0.9868 0.3906 0.5000

Principal peaks in the range 2θ from 10° to 90°, in order of rising 2θ:
- 13.05 deg, d 6.786, I 57
- 26.25 deg, d 3.395, I 67
- 27.47 deg, d 3.247, I 86
- 33.12 deg, d 2.705, I 72
- 34.04 deg, d 2.634, I 60
- 34.33 deg, d 2.612, I 100
- 38.20 deg, d 2.356, I 54
- 39.01 deg, d 2.309, I 70
- 41.33 deg, d 2.185, I 70
- 46.28 deg, d 1.962, I 90


No. 3
Structure and theoretical X-ray diffraction stick pattern of Ca3Ge2P4 (a cell relaxed with PBE; a wavelength of 1.5418 Å).
Kinematic intensities with the Lorentz-polarization factor, no thermal factor.

Atomic structure:
Cell lengths 7.1453, 17.5656, 7.0841 Å; angles 90.00, 111.74, 90.00 degrees
Atoms (fractional coordinates):
Ca 0.2149 0.1830 0.0120
Ca 0.2149 0.3170 0.5120
Ca 0.2574 0.0601 0.5118
Ca 0.2574 0.4399 0.0118
Ca 0.2624 0.5602 0.5041
Ca 0.2624 0.9398 0.0041
Ca 0.7376 0.0602 0.9959
Ca 0.7376 0.4398 0.4959
Ca 0.7426 0.5601 0.9882
Ca 0.7426 0.9399 0.4882
Ca 0.7851 0.6830 0.4880
Ca 0.7851 0.8170 0.9880
Ge 0.2091 0.6255 0.0302
Ge 0.2091 0.8745 0.5302
Ge 0.3195 0.7425 0.9153
Ge 0.3195 0.7575 0.4153
Ge 0.6805 0.2425 0.5847
Ge 0.6805 0.2575 0.0847
Ge 0.7909 0.1255 0.4698
Ge 0.7909 0.3745 0.9698
P 0.0036 0.5586 0.7484
P 0.0036 0.9414 0.2484
P 0.0343 0.6850 0.2232
P 0.0343 0.8150 0.7232
P 0.4874 0.1968 0.7724
P 0.4874 0.3032 0.2724
P 0.4983 0.0659 0.2537
P 0.4983 0.4341 0.7537
P 0.5017 0.5659 0.2463
P 0.5017 0.9341 0.7463
P 0.5126 0.6968 0.7276
P 0.5126 0.8032 0.2276
P 0.9657 0.1850 0.2768
P 0.9657 0.3150 0.7768
P 0.9964 0.0586 0.7516
P 0.9964 0.4414 0.2516

Principal peaks in the range 2θ from 10° to 90°, in order of rising 2θ:
- 10.07 deg, d 8.783, I 11
- 14.27 deg, d 6.209, I 42
- 26.87 deg, d 3.318, I 9
- 30.29 deg, d 2.951, I 100
- 32.66 deg, d 2.742, I 11
- 34.08 deg, d 2.631, I 12
- 38.35 deg, d 2.347, I 12
- 43.24 deg, d 2.092, I 18
- 43.55 deg, d 2.078, I 17
- 45.45 deg, d 1.996, I 24


No. 4
Structure and theoretical X-ray diffraction stick pattern of Ca3GeP3 (a cell relaxed with PBE; a wavelength of 1.5418 Å).
Kinematic intensities with the Lorentz-polarization factor, no thermal factor.

Atomic structure:
Cell lengths 9.5764, 9.5764, 11.8574 Å; angles 90.00, 90.00, 37.82 degrees
Atoms (fractional coordinates):
Ca 0.0013 0.6444 0.1332
Ca 0.1444 0.5013 0.6332
Ca 0.1788 0.8212 0.8536
Ca 0.3212 0.6788 0.3536
Ca 0.3556 0.9987 0.1332
Ca 0.4987 0.8556 0.6332
Ca 0.5013 0.1444 0.3668
Ca 0.6444 0.0013 0.8668
Ca 0.6788 0.3212 0.6464
Ca 0.8212 0.1788 0.1464
Ca 0.8556 0.4987 0.3668
Ca 0.9987 0.3556 0.8668
Ge 0.0885 0.0885 0.5000
Ge 0.4115 0.4115 0.0000
Ge 0.5885 0.5885 0.0000
Ge 0.9115 0.9115 0.5000
P 0.0500 0.6242 0.3778
P 0.1242 0.5500 0.8778
P 0.2206 0.7794 0.6116
P 0.2794 0.7206 0.1116
P 0.3758 0.9500 0.3778
P 0.4500 0.8758 0.8778
P 0.5500 0.1242 0.1222
P 0.6242 0.0500 0.6222
P 0.7206 0.2794 0.8884
P 0.7794 0.2206 0.3884
P 0.8758 0.4500 0.1222
P 0.9500 0.3758 0.6222

Principal peaks in the range 2θ from 10° to 90°, in order of rising 2θ:
- 14.94 deg, d 5.929, I 37
- 16.85 deg, d 5.262, I 78
- 27.20 deg, d 3.279, I 69
- 29.54 deg, d 3.024, I 100
- 30.15 deg, d 2.964, I 33
- 31.39 deg, d 2.850, I 34
- 41.73 deg, d 2.164, I 75
- 42.16 deg, d 2.144, I 72
- 42.74 deg, d 2.115, I 99
- 56.24 deg, d 1.636, I 22


No. 5
Structure and theoretical X-ray diffraction stick pattern of Ca4GeP4 (a cell relaxed with PBE; a wavelength of 1.5418 Å).
Kinematic intensities with the Lorentz-polarization factor, no thermal factor.

Atomic structure:
Cell lengths 8.3113, 8.3113, 6.2352 Å; angles 90.00, 90.00, 90.00 degrees
Atoms (fractional coordinates):
Ca 0.0184 0.2500 0.0713
Ca 0.2500 0.0184 0.5713
Ca 0.2500 0.4816 0.5713
Ca 0.4816 0.2500 0.0713
Ca 0.5184 0.7500 0.9287
Ca 0.7500 0.5184 0.4287
Ca 0.7500 0.9816 0.4287
Ca 0.9816 0.7500 0.9287
Ge 0.2500 0.7500 0.2500
Ge 0.7500 0.2500 0.7500
P 0.0162 0.7500 0.4644
P 0.2500 0.5162 0.0356
P 0.2500 0.9838 0.0356
P 0.4838 0.7500 0.4644
P 0.5162 0.2500 0.5356
P 0.7500 0.0162 0.9644
P 0.7500 0.4838 0.9644
P 0.9838 0.2500 0.5356

Principal peaks in the range 2θ from 10° to 90°, in order of rising 2θ:
- 15.08 deg, d 5.877, I 40
- 17.78 deg, d 4.988, I 39
- 21.38 deg, d 4.156, I 24
- 27.95 deg, d 3.193, I 84
- 30.42 deg, d 2.938, I 71
- 30.63 deg, d 2.919, I 30
- 37.66 deg, d 2.389, I 25
- 42.26 deg, d 2.138, I 100
- 43.56 deg, d 2.078, I 69
- 79.08 deg, d 1.211, I 25


No. 6
Structure and theoretical X-ray diffraction stick pattern of Ca6GePb3 (a cell relaxed with PBE; a wavelength of 1.5418 Å).
Kinematic intensities with the Lorentz-polarization factor, no thermal factor.

Atomic structure:
Cell lengths 9.4095, 12.5466, 5.2999 Å; angles 90.00, 90.00, 90.00 degrees
Atoms (fractional coordinates):
Ca 0.0314 0.2386 0.0000
Ca 0.1568 0.0824 0.5000
Ca 0.1977 0.4120 0.5000
Ca 0.3023 0.9120 0.0000
Ca 0.3432 0.5824 0.0000
Ca 0.4686 0.7386 0.5000
Ca 0.5314 0.2614 0.5000
Ca 0.6568 0.4176 0.0000
Ca 0.6977 0.0880 0.0000
Ca 0.8023 0.5880 0.5000
Ca 0.8432 0.9176 0.5000
Ca 0.9686 0.7614 0.0000
Ge 0.0000 0.0000 0.0000
Ge 0.5000 0.5000 0.5000
Pb 0.0000 0.5000 0.0000
Pb 0.1300 0.6993 0.5000
Pb 0.3700 0.1993 0.0000
Pb 0.5000 0.0000 0.5000
Pb 0.6300 0.8007 0.0000
Pb 0.8700 0.3007 0.5000

Principal peaks in the range 2θ from 10° to 90°, in order of rising 2θ:
- 11.76 deg, d 7.528, I 55
- 20.16 deg, d 4.405, I 38
- 20.49 deg, d 4.334, I 44
- 23.93 deg, d 3.719, I 94
- 27.16 deg, d 3.283, I 57
- 28.80 deg, d 3.100, I 48
- 29.10 deg, d 3.069, I 27
- 33.19 deg, d 2.699, I 100
- 33.83 deg, d 2.650, I 60
- 39.72 deg, d 2.269, I 28


No. 7
Structure and theoretical X-ray diffraction stick pattern of Ca12GePd6 (a cell relaxed with PBE; a wavelength of 1.5418 Å).
Kinematic intensities with the Lorentz-polarization factor, no thermal factor.

Atomic structure:
Cell lengths 8.8338, 8.8338, 8.8338 Å; angles 109.47, 109.47, 109.47 degrees
Atoms (fractional coordinates):
Ca 0.1189 0.8200 0.2989
Ca 0.1800 0.2989 0.4789
Ca 0.1800 0.7011 0.8811
Ca 0.2989 0.1189 0.8200
Ca 0.2989 0.4789 0.1800
Ca 0.4789 0.1800 0.2989
Ca 0.5211 0.8200 0.7011
Ca 0.7011 0.5211 0.8200
Ca 0.7011 0.8811 0.1800
Ca 0.8200 0.2989 0.1189
Ca 0.8200 0.7011 0.5211
Ca 0.8811 0.1800 0.7011
Ge 0.0000 0.0000 0.0000
Pd 0.1318 0.6318 0.5000
Pd 0.3682 0.5000 0.8682
Pd 0.5000 0.1318 0.6318
Pd 0.5000 0.8682 0.3682
Pd 0.6318 0.5000 0.1318
Pd 0.8682 0.3682 0.5000

Principal peaks in the range 2θ from 10° to 90°, in order of rising 2θ:
- 12.27 deg, d 7.213, I 21
- 17.39 deg, d 5.100, I 41
- 32.85 deg, d 2.726, I 100
- 37.40 deg, d 2.404, I 19
- 45.33 deg, d 2.000, I 43
- 53.93 deg, d 1.700, I 17
- 58.65 deg, d 1.574, I 11
- 64.61 deg, d 1.443, I 11
- 73.04 deg, d 1.295, I 12
- 81.10 deg, d 1.186, I 15